No. 1
Theoretical powder X-ray diffraction pattern of BaSrEuBiO6 for a wavelength of 1.5418 Å, from a cell relaxed with PBE.
Intensities are scaled so that the largest is 100.

Crystal structure
Cell lengths 8.688, 8.692, 8.698 Å; angles 90.00, 90.00, 90.00 degrees
Space group P222 (No. 16)
Unique sites:
1 Ba 0.000 0.000 0.000 x1
2 Ba 0.000 0.000 0.500 x1
3 Ba 0.500 0.000 0.000 x1
4 Ba 0.500 0.500 0.500 x1
5 Sr 0.000 0.500 0.000 x1
6 Sr 0.000 0.500 0.500 x1
7 Sr 0.500 0.000 0.500 x1
8 Sr 0.500 0.500 0.000 x1
9 Eu 0.250 0.253 0.250 x4
10 Bi 0.250 0.253 0.750 x4
11 O 0.008 0.219 0.721 x4
12 O 0.210 0.288 0.991 x4
13 O 0.212 0.492 0.704 x4
14 O 0.276 0.009 0.783 x4
15 O 0.295 0.214 0.510 x4
16 O 0.491 0.295 0.789 x4

The 8 most intense peaks (10° ≤ 2θ ≤ 80°), in order of rising 2θ:
- 4.346 Å, 2θ 20.43, intensity 11
- 3.073 Å, 2θ 29.05, intensity 100
- 2.173 Å, 2θ 41.55, intensity 27
- 1.944 Å, 2θ 46.73, intensity 5
- 1.774 Å, 2θ 51.50, intensity 45
- 1.537 Å, 2θ 60.22, intensity 17
- 1.374 Å, 2θ 68.23, intensity 19
- 1.255 Å, 2θ 75.82, intensity 5


No. 2
Theoretical powder X-ray diffraction pattern of Y2Al for a wavelength of 1.5418 Å, from a cell relaxed with PBE.
Intensities are scaled so that the largest is 100.

Crystal structure
Cell lengths 6.607, 5.115, 9.491 Å; angles 90.00, 90.00, 90.00 degrees
Space group Pnma (No. 62)
Unique sites:
1 Y 0.027 0.250 0.208 x4
2 Y 0.186 0.250 0.573 x4
3 Al 0.209 0.250 0.896 x4

The 8 most intense peaks (10° ≤ 2θ ≤ 80°), in order of rising 2θ:
- 3.721 Å, 2θ 23.92, intensity 37
- 3.078 Å, 2θ 29.01, intensity 40
- 2.775 Å, 2θ 32.26, intensity 41
- 2.711 Å, 2θ 33.04, intensity 46
- 2.691 Å, 2θ 33.30, intensity 100
- 2.663 Å, 2θ 33.65, intensity 96
- 2.557 Å, 2θ 35.09, intensity 59
- 1.539 Å, 2θ 60.11, intensity 31


No. 3
Theoretical powder X-ray diffraction pattern of Al2O3 for a wavelength of 1.5418 Å, from a cell relaxed with PBE.
Intensities are scaled so that the largest is 100.

Crystal structure
Cell lengths 2.834, 4.936, 9.043 Å; angles 81.69, 85.19, 88.52 degrees
Space group P-1 (No. 2)
Unique sites:
1 Al 0.073 0.339 0.317 x2
2 Al 0.392 0.119 0.866 x2
3 O 0.100 0.663 0.196 x2
4 O 0.399 0.854 0.745 x2
5 O 0.473 0.615 0.545 x2

The 8 most intense peaks (10° ≤ 2θ ≤ 80°), in order of rising 2θ:
- 4.567 Å, 2θ 19.43, intensity 24
- 4.459 Å, 2θ 19.91, intensity 100
- 4.047 Å, 2θ 21.96, intensity 82
- 3.556 Å, 2θ 25.04, intensity 77
- 3.081 Å, 2θ 28.98, intensity 90
- 2.345 Å, 2θ 38.39, intensity 28
- 2.296 Å, 2θ 39.23, intensity 20
- 2.134 Å, 2θ 42.35, intensity 47